# 1
# LiFe2B2O6
Theoretical XRD peak list, Cu Kα (λ = 1.5418 Å). Input: a structure optimized by DFT (PBE+U).
No peak broadening, texture or thermal motion is included.

Top 10 peaks for 2θ from 15° to 90°, low angle first:
| index | Position (°2θ) | intensity |
| --- | --- | --- |
| 1 -1 0 | 19.51 | 944 |
| 1 -1 1 | 21.31 | 402 |
| 1 0 1 | 21.48 | 1000 |
| 0 1 -2 | 25.83 | 274 |
| 1 0 -2 | 26.10 | 348 |
| 1 0 2 | 26.48 | 258 |
| 1 1 0 | 33.86 | 272 |
| 1 -2 0 | 33.97 | 381 |
| 2 -1 0 | 34.19 | 263 |
| 0 0 4 | 35.44 | 892 |

Cell and atoms:
```
data_LiFe2B2O6
_chemical_formula_sum 'Li2 Fe4 B4 O12'
_cell_length_a 5.245
_cell_length_b 5.280
_cell_length_c 10.136
_cell_angle_alpha 91.37
_cell_angle_beta 90.04
_cell_angle_gamma 119.58
_symmetry_space_group_name_H-M 'P 1'
_symmetry_Int_Tables_number 1
loop_
_symmetry_equiv_pos_as_xyz
'x,y,z'
loop_
_atom_site_label
_atom_site_type_symbol
_atom_site_fract_x
_atom_site_fract_y
_atom_site_fract_z
_atom_site_occupancy
Li1 Li 0.000 0.000 0.000 1
Li2 Li 0.333 0.312 0.278 1
Fe1 Fe 0.337 0.663 0.524 1
Fe2 Fe 0.662 0.330 0.030 1
Fe3 Fe 0.672 0.979 0.277 1
Fe4 Fe 0.992 0.631 0.778 1
B1 B 0.002 0.649 0.277 1
B2 B 0.337 0.657 0.027 1
B3 B 0.660 0.977 0.780 1
B4 B 0.667 0.318 0.524 1
O1 O 0.022 0.916 0.266 1
O2 O 0.094 0.675 0.977 1
O3 O 0.244 0.628 0.324 1
O4 O 0.314 0.389 0.044 1
O5 O 0.396 0.759 0.723 1
O6 O 0.441 0.371 0.502 1
O7 O 0.594 0.911 0.062 1
O8 O 0.647 0.054 0.489 1
O9 O 0.683 0.242 0.817 1
O10 O 0.746 0.392 0.241 1
O11 O 0.886 0.925 0.803 1
O12 O 0.933 0.537 0.580 1
```

---

# 2
# LiFe8B8O24
Theoretical XRD peak list, Cu Kα (λ = 1.5418 Å). Input: a structure optimized by DFT (PBE+U).
No peak broadening, texture or thermal motion is included.

Top 10 peaks for 2θ from 15° to 90°, low angle first:
| index | Position (°2θ) | intensity |
| --- | --- | --- |
| 0 2 0 | 19.71 | 1000 |
| 1 1 -1 | 21.25 | 524 |
| -1 1 1 | 21.26 | 524 |
| 0 2 1 | 21.50 | 328 |
| 1 1 2 | 26.12 | 676 |
| 1 -1 2 | 26.28 | 699 |
| 1 3 0 | 34.17 | 323 |
| 1 -3 0 | 34.36 | 309 |
| 0 0 4 | 35.44 | 834 |
| 2 0 2 | 38.14 | 309 |

Cell and atoms:
```
data_LiFe8B8O24
_chemical_formula_sum 'Li1 Fe8 B8 O24'
_cell_length_a 5.333
_cell_length_b 9.011
_cell_length_c 10.132
_cell_angle_alpha 89.37
_cell_angle_beta 89.98
_cell_angle_gamma 89.62
_symmetry_space_group_name_H-M 'P 1'
_symmetry_Int_Tables_number 1
loop_
_symmetry_equiv_pos_as_xyz
'x,y,z'
loop_
_atom_site_label
_atom_site_type_symbol
_atom_site_fract_x
_atom_site_fract_y
_atom_site_fract_z
_atom_site_occupancy
Li1 Li 0.000 0.000 0.000 1
Fe1 Fe 0.014 0.337 0.528 1
Fe2 Fe 0.016 0.663 0.029 1
Fe3 Fe 0.198 0.838 0.276 1
Fe4 Fe 0.208 0.174 0.779 1
Fe5 Fe 0.509 0.175 0.033 1
Fe6 Fe 0.515 0.838 0.526 1
Fe7 Fe 0.693 0.337 0.280 1
Fe8 Fe 0.695 0.670 0.779 1
B1 B 0.017 0.332 0.030 1
B2 B 0.023 0.676 0.527 1
B3 B 0.187 0.173 0.279 1
B4 B 0.192 0.833 0.785 1
B5 B 0.523 0.174 0.529 1
B6 B 0.529 0.832 0.026 1
B7 B 0.693 0.334 0.776 1
B8 B 0.693 0.675 0.278 1
O1 O 0.047 0.290 0.333 1
O2 O 0.051 0.712 0.830 1
O3 O 0.087 0.035 0.266 1
O4 O 0.111 0.536 0.522 1
O5 O 0.112 0.973 0.808 1
O6 O 0.127 0.468 0.021 1
O7 O 0.131 0.205 0.976 1
O8 O 0.159 0.797 0.475 1
O9 O 0.275 0.817 0.071 1
O10 O 0.283 0.198 0.582 1
O11 O 0.419 0.804 0.721 1
O12 O 0.425 0.201 0.235 1
O13 O 0.555 0.797 0.325 1
O14 O 0.556 0.214 0.824 1
O15 O 0.600 0.538 0.285 1
O16 O 0.602 0.474 0.780 1
O17 O 0.617 0.035 0.523 1
O18 O 0.648 0.963 0.028 1
O19 O 0.652 0.704 0.980 1
O20 O 0.656 0.297 0.483 1
O21 O 0.789 0.708 0.585 1
O22 O 0.790 0.312 0.091 1
O23 O 0.931 0.703 0.222 1
O24 O 0.933 0.306 0.723 1
```